This entry pairs a crystal structure of Ac2Ga5Pt3 with its calculated PXRD pattern. Radiation: Cu Kα (λ = 1.5418 Å). Structure: a DFT-relaxed cell (GGA-PBE, Alexandria).
Neutral-atom scattering factors, no anomalous dispersion.

Peak list (12 most intense, 5° ≤ 2θ ≤ 70°, by angle)
3.958 Å, I = 18
3.199 Å, I = 17
3.064 Å, I = 16
2.869 Å, I = 15
2.762 Å, I = 100
2.739 Å, I = 48
2.653 Å, I = 51
2.213 Å, I = 75
1.913 Å, I = 24
1.750 Å, I = 23
1.705 Å, I = 25
1.532 Å, I = 22

Structure:
Lattice parameters (Å, degrees): 8.8572 8.8572 8.8572 106.45 87.49 139.52
Atoms (fractional coordinates):
Ac (0.1306, 0.2316, 0.3622)
Ac (0.3694, 0.7316, 0.1010)
Ac (0.6306, 0.2684, 0.8990)
Ac (0.8694, 0.7684, 0.6378)
Ga (0.0246, 0.7500, 0.2746)
Ga (0.1072, 0.6481, 0.7553)
Ga (0.2500, 0.2500, 0.0000)
Ga (0.3928, 0.1481, 0.5410)
Ga (0.4754, 0.7500, 0.7254)
Ga (0.5246, 0.2500, 0.2746)
Ga (0.6072, 0.8519, 0.4590)
Ga (0.7500, 0.7500, 0.0000)
Ga (0.8928, 0.3519, 0.2447)
Ga (0.9754, 0.2500, 0.7254)
Pt (0.1374, 0.8882, 0.0256)
Pt (0.2500, 0.7500, 0.5000)
Pt (0.3626, 0.3882, 0.7508)
Pt (0.6374, 0.6118, 0.2492)
Pt (0.7500, 0.2500, 0.5000)
Pt (0.8626, 0.1118, 0.9744)